KW3O9: theoretical powder diffraction line list (copper Kα), based on a cell relaxed with PBE+U.

Structure:
a b c (Å): 7.5204 7.5204 3.8833
angles (deg): 90.00 90.00 120.00
Space group P6mm (No. 183)
Inequivalent atoms, fractional coordinates:
K: 0.0000 0.0000 0.0000
W: 0.0000 0.5000 0.5991
O: 0.0000 0.5000 0.0997
O: 0.2101 0.4202 0.6003

Principal peaks in the range 2θ = 10–90°, by angle:
(hkl)	Position (°2θ)	I/Imax
1 0 0	13.60	42
0 0 1	22.90	46
1 0 1	26.73	27
2 0 0	27.39	100
2 0 1	35.99	49
2 0 2	55.07	26

=====

KWO3: theoretical powder diffraction line list (copper Kα), based on a cell relaxed with PBE+U.

Structure:
a b c (Å): 4.017 4.017 4.017
angles (deg): 90.00 90.00 90.00
Space group Pm-3m (No. 221)
Inequivalent atoms, fractional coordinates:
K: 0.000 0.000 0.000
W: 0.500 0.500 0.500
O: 0.000 0.500 0.500

Principal peaks in the range 2θ = 10–90°, by angle:
(hkl)	Position (°2θ)	I/Imax
1 0 0	22.13	70
1 1 0	31.49	100
2 0 0	45.14	31
2 1 0	50.82	32
2 1 1	56.08	40
2 2 0	65.75	19

=====

KW3O9: theoretical powder diffraction line list (copper Kα), based on a cell relaxed with PBE+U.

Structure:
a b c (Å): 7.496 13.073 7.786
angles (deg): 90.00 90.03 90.00
Space group Cc (No. 9)
Inequivalent atoms, fractional coordinates:
K: 0.000 0.000 0.000
W: 0.249 0.249 0.267
W: 0.251 0.250 0.767
W: 0.499 0.000 0.266
O: 0.000 0.493 0.017
O: 0.001 0.208 0.758
O: 0.185 0.395 0.276
O: 0.185 0.399 0.758
O: 0.239 0.254 0.023
O: 0.261 0.247 0.510
O: 0.316 0.102 0.776
O: 0.316 0.105 0.258
O: 0.499 0.291 0.776

Principal peaks in the range 2θ = 10–90°, by angle:
(hkl)	Position (°2θ)	I/Imax
1 1 0	13.59	63
0 0 2	22.84	69
0 4 0	27.29	51
2 2 0	27.43	100
2 2 -2	35.99	48
2 2 4	54.96	43

=====

K2WO4: theoretical powder diffraction line list (copper Kα), based on a cell relaxed with PBE+U.

Structure:
a b c (Å): 6.355 8.241 12.177
angles (deg): 90.00 116.01 90.00
Space group P2_1/c (No. 14)
Inequivalent atoms, fractional coordinates:
K: 0.023 0.011 0.271
K: 0.284 0.748 0.593
W: 0.369 0.233 0.069
O: 0.245 0.076 0.586
O: 0.265 0.072 0.133
O: 0.275 0.200 0.906
O: 0.310 0.744 0.355

Principal peaks in the range 2θ = 10–90°, by angle:
(hkl)	Position (°2θ)	I/Imax
1 1 0	18.90	43
0 1 2	19.47	46
1 1 -2	20.00	99
0 2 0	21.57	49
1 2 0	26.68	53
1 0 2	27.07	100